Diffraction record for Nb4AlC2. The powder XRD pattern is calculated, not measured: it uses a PBE-relaxed structure and Cu Kα.
No peak broadening, texture or thermal motion is included.

The 10 most intense peaks (10° ≤ 2θ ≤ 90°), in order of rising 2θ:
2θ = 32.5°, d = 2.757 Å, I = 50
2θ = 35.9°, d = 2.502 Å, I = 92
2θ = 37.1°, d = 2.422 Å, I = 100
2θ = 37.3°, d = 2.410 Å, I = 32
2θ = 38.0°, d = 2.366 Å, I = 89
2θ = 40.5°, d = 2.225 Å, I = 21
2θ = 55.6°, d = 1.652 Å, I = 27
2θ = 56.9°, d = 1.618 Å, I = 21
2θ = 68.0°, d = 1.379 Å, I = 27
2θ = 69.9°, d = 1.346 Å, I = 23

Cell and atoms:
```
Nb4AlC2
1.0
1.6520 -5.3260 0.0000
1.6520 5.3260 0.0000
0.0000 0.0000 11.3385
Nb Al C
8 2 4
Cartesian
0.0000 0.0000 0.0000 Nb
0.0000 0.0000 5.6692 Nb
1.6520 2.5358 6.8810 Nb
1.6520 2.5358 10.1267 Nb
1.6520 0.8950 2.8346 Nb
1.6520 -0.8950 8.5038 Nb
1.6520 -2.5358 1.2118 Nb
1.6520 -2.5358 4.4575 Nb
1.6520 4.1770 2.8346 Al
1.6520 -4.1770 8.5038 Al
1.6520 1.4428 0.6921 C
1.6520 1.4428 4.9771 C
1.6520 -1.4428 6.3614 C
1.6520 -1.4428 10.6463 C
```